Starting from a GGA-PBE-relaxed structure, the powder XRD pattern of Sr6P3N was simulated for Cu Kα, 1.54184 Å.

Structure:
Unit cell a=12.5604 b=12.5604 c=14.0443 alpha=90.00 beta=90.00 gamma=120.00
Space group R-3 (No. 148, hexagonal axes)
Unique sites:
Sr 0.0287 0.8303 0.4017 x18
Sr 0.0300 0.8450 0.8914 x18
P 0.0470 0.7767 0.1940 x18
N 0.0000 0.0000 0.0000 x3
N 0.0000 0.0000 0.5000 x3

Peak list (10 most intense, 2θ = 10–80°, in order of rising 2θ)
2theta, I (rel.), (hkl)
25.10, 100, 1 2 2
26.68, 36, 1 0 4
28.42, 25, 2 2 0
32.30, 59, 4 -1 2
33.56, 73, 3 -1 4
37.90, 37, 4 1 0
38.28, 22, 2 3 2
48.51, 24, 2 2 6
53.69, 16, 5 1 4
61.07, 25, 8 -3 2